This entry pairs a crystal structure of NaZnSiHO4 with its computed powder X-ray diffraction pattern. Radiation: copper Kα. Structure: a DFT-relaxed cell (PBE, Alexandria).

Cell lengths 5.2303, 7.7689, 9.4639 Å; angles 90.00, 90.00, 90.00 degrees
Fractional positions:
Na (0.0244, 0.2085, 0.3364)
Na (0.4756, 0.7915, 0.8364)
Na (0.5244, 0.2915, 0.6636)
Na (0.9756, 0.7085, 0.1636)
Zn (0.0248, 0.1105, 0.9887)
Zn (0.4752, 0.8895, 0.4887)
Zn (0.5248, 0.3895, 0.0113)
Zn (0.9752, 0.6105, 0.5113)
Si (0.0154, 0.4851, 0.8396)
Si (0.4846, 0.5149, 0.3396)
Si (0.5154, 0.0149, 0.1604)
Si (0.9846, 0.9851, 0.6604)
H (0.0229, 0.2821, 0.6266)
H (0.4771, 0.7179, 0.1266)
H (0.5229, 0.2179, 0.3734)
H (0.9771, 0.7821, 0.8734)
O (0.0761, 0.9592, 0.8254)
O (0.1015, 0.1680, 0.5929)
O (0.1275, 0.8345, 0.5663)
O (0.1729, 0.5195, 0.3504)
O (0.3271, 0.4805, 0.8504)
O (0.3725, 0.1655, 0.0663)
O (0.3985, 0.8320, 0.0929)
O (0.4239, 0.0408, 0.3254)
O (0.5761, 0.5408, 0.1746)
O (0.6015, 0.3320, 0.4071)
O (0.6275, 0.6655, 0.4337)
O (0.6729, 0.9805, 0.6496)
O (0.8271, 0.0195, 0.1496)
O (0.8725, 0.3345, 0.9337)
O (0.8985, 0.6680, 0.9071)
O (0.9239, 0.4592, 0.6746)

Largest 10 diffraction maxima, sorted by position, 15 to 90 degrees two-theta:
- 2θ = 18.75°, d 4.732, I = 53
- 2θ = 19.39°, d 4.578, I = 42
- 2θ = 22.54°, d 3.944, I = 71
- 2θ = 28.62°, d 3.118, I = 79
- 2θ = 30.17°, d 2.962, I = 48
- 2θ = 30.59°, d 2.923, I = 77
- 2θ = 34.29°, d 2.615, I = 76
- 2θ = 34.44°, d 2.604, I = 100
- 2θ = 35.17°, d 2.551, I = 76
- 2θ = 35.95°, d 2.498, I = 48